Calculated X-ray diffraction stick pattern
Compound: Ac2Pm7Dy4
Radiation: a wavelength of 1.5418 Å
Structure: a structure optimized by DFT (PBE)
Intensities are scaled so that the largest is 100.

Crystal structure
abc: 6.3046 6.3046 13.3516
angles: 90.00 90.00 120.00
Space group P-31m (No. 162)
Unique sites:
Ac: 0.3333 0.6667 0.0000 x2
Pm: 0.0000 0.0000 0.0000 x1
Pm: 0.0000 0.3685 0.7726 x6
Dy: 0.0000 0.0000 0.3943 x2
Dy: 0.3333 0.6667 0.5000 x2

Largest 10 diffraction maxima, by angle, 2θ from 10° to 90°:
26.71°, I 20, (0 0 4)
28.31°, I 18, (1 1 0)
29.11°, I 27, (2 -1 1)
31.39°, I 100, (1 1 2)
34.88°, I 25, (2 -1 3)
44.45°, I 10, (1 1 5)
50.15°, I 38, (3 0 0)
57.69°, I 12, (3 0 4)
60.34°, I 12, (4 -2 2)
82.18°, I 10, (4 1 2)

=====

Calculated X-ray diffraction stick pattern
Compound: Dy5Ho5Tm2
Radiation: a wavelength of 1.5418 Å
Structure: a structure optimized by DFT (PBE)
Intensities are scaled so that the largest is 100.

Crystal structure
abc: 11.851 5.554 11.832
angles: 90.00 108.44 90.00
Space group C2/m (No. 12)
Unique sites:
Dy: 0.000 0.000 0.000 x2
Dy: 0.046 0.000 0.705 x4
Dy: 0.212 0.000 0.538 x4
Ho: 0.000 0.500 0.500 x2
Ho: 0.211 0.500 0.040 x4
Ho: 0.249 0.000 0.249 x4
Tm: 0.043 0.500 0.206 x4

Largest 10 diffraction maxima, by angle, 2θ from 10° to 90°:
31.86°, I 92, (4 0 0)
32.26°, I 100, (0 2 0)
41.71°, I 11, (2 2 2)
45.97°, I 33, (4 2 0)
57.26°, I 29, (1 3 3)
57.52°, I 19, (3 3 -3)
63.30°, I 19, (4 2 4)
67.50°, I 12, (0 4 0)
76.56°, I 12, (4 4 0)
81.92°, I 12, (7 3 1)

=====

Calculated X-ray diffraction stick pattern
Compound: K2Ni3Se4
Radiation: a wavelength of 1.5418 Å
Structure: a structure optimized by DFT (PBE)
Intensities are scaled so that the largest is 100.

Crystal structure
abc: 6.058 10.573 27.120
angles: 90.00 90.00 90.00
Space group Fddd (No. 70, origin choice 2)
Unique sites:
K: 0.125 0.125 0.051 x16
Ni: 0.125 0.125 0.376 x16
Ni: 0.125 0.125 0.625 x8
Se: 0.120 0.292 0.568 x32

Largest 10 diffraction maxima, by angle, 2θ from 10° to 90°:
13.06°, I 100, (0 0 4)
17.18°, I 43, (1 1 1)
18.01°, I 38, (0 2 2)
19.54°, I 30, (1 1 3)
29.51°, I 57, (1 3 1)
30.23°, I 29, (2 0 2)
35.68°, I 36, (2 0 6)
37.56°, I 50, (1 3 7)
42.18°, I 42, (1 3 9)
43.57°, I 33, (2 2 8)